# 1
Simulated powder X-ray diffraction pattern
Compound: Dy4AsO3
Radiation: Cu Kα
Structure: the PBE geometry in OQMD
Lines closer than 0.1° are merged.

Most intense lines, 2θ from 5° to 70°, sorted by position:
- 2θ = 17.74°, rel. 17, (0 0 2)
- 2θ = 30.22°, rel. 1000, (1 1 2)
- 2θ = 31.91°, rel. 96, (1 0 3)
- 2θ = 34.58°, rel. 821, (2 0 0)
- 2θ = 35.92°, rel. 339, (0 0 4)
- 2θ = 47.76°, rel. 64, (2 1 3)
- 2θ = 49.70°, rel. 290, (2 2 0)
- 2θ = 50.72°, rel. 501, (2 0 4)
- 2θ = 59.28°, rel. 316, (3 1 2)
- 2θ = 61.07°, rel. 112, (1 1 6)
- 2θ = 62.83°, rel. 260, (2 2 4)
- 2θ = 68.08°, rel. 33, (1 0 7)

Atomic structure:
```
data_Dy4AsO3
_space_group_name_H-M_alt 'I 4/m m m'
_space_group_IT_number 139
_space_group_name_Hall '-I 4 2'
_cell_length_a 5.1884
_cell_length_b 5.1884
_cell_length_c 9.9994
_cell_angle_alpha 90.00
_cell_angle_beta 90.00
_cell_angle_gamma 90.00
loop_
_atom_site_label
_atom_site_type_symbol
_atom_site_fract_x
_atom_site_fract_y
_atom_site_fract_z
Dy1 Dy 0.0000 0.0000 0.2321
Dy2 Dy 0.0000 0.5000 0.0000
As1 As 0.0000 0.0000 0.5000
O1 O 0.0000 0.0000 0.0000
O2 O 0.0000 0.5000 0.2500
```



# 2
Simulated powder X-ray diffraction pattern
Compound: CuAg4
Radiation: Cu Kα
Structure: the PBE geometry in OQMD
Lines closer than 0.1° are merged.

Most intense lines, 2θ from 5° to 70°, sorted by position:
- 2θ = 25.90°, rel. 7, (0 1 1)
- 2θ = 27.97°, rel. 6, (2 0 0)
- 2θ = 29.48°, rel. 14, (1 1 -1)
- 2θ = 31.37°, rel. 13, (2 0 1)
- 2θ = 35.54°, rel. 10, (0 1 2)
- 2θ = 38.40°, rel. 1000, (2 1 -1)
- 2θ = 44.41°, rel. 163, (1 0 -3)
- 2θ = 44.52°, rel. 164, (0 2 0)
- 2θ = 44.97°, rel. 152, (3 0 1)
- 2θ = 64.70°, rel. 99, (1 2 -3)
- 2θ = 65.05°, rel. 94, (4 0 -2)
- 2θ = 65.13°, rel. 95, (3 2 1)

Atomic structure:
```
data_CuAg4
_space_group_name_H-M_alt 'P 1 21/m 1'
_space_group_IT_number 11
_cell_length_a 6.3808
_cell_length_b 4.0704
_cell_length_c 6.4439
_cell_angle_alpha 90.00
_cell_angle_beta 90.38
_cell_angle_gamma 90.00
loop_
_space_group_symop_operation_xyz
'x,y,z'
'-x,-y,-z'
'-x,y+1/2,-z'
'x,-y+1/2,z'
loop_
_atom_site_label
_atom_site_type_symbol
_atom_site_fract_x
_atom_site_fract_y
_atom_site_fract_z
Cu1 Cu 0.0468 0.2500 0.3560
Ag1 Ag 0.1471 0.7500 0.0446
Ag2 Ag 0.2394 0.2500 0.7379
Ag3 Ag 0.3344 0.7500 0.4475
Ag4 Ag 0.4442 0.2500 0.1532
```



# 3
Simulated powder X-ray diffraction pattern
Compound: Sc2Tc3Ag
Radiation: Cu Kα
Structure: the PBE geometry in OQMD
Lines closer than 0.1° are merged.

Most intense lines, 2θ from 5° to 70°, sorted by position:
- 2θ = 18.18°, rel. 138, (0 0 2)
- 2θ = 29.26°, rel. 109, (1 0 1)
- 2θ = 33.38°, rel. 28, (1 0 2)
- 2θ = 39.41°, rel. 1000, (1 0 3)
- 2θ = 39.67°, rel. 525, (1 1 0)
- 2θ = 43.95°, rel. 59, (1 1 2)
- 2θ = 46.74°, rel. 27, (1 0 4)
- 2θ = 55.04°, rel. 37, (1 0 5)
- 2θ = 56.57°, rel. 68, (0 0 6)
- 2θ = 57.35°, rel. 170, (2 0 0)
- 2θ = 60.68°, rel. 23, (2 0 2)
- 2θ = 65.67°, rel. 23, (2 1 1)

Atomic structure:
```
data_Sc2Tc3Ag
_space_group_name_H-M_alt 'P 4 m m'
_space_group_IT_number 99
_cell_length_a 3.2135
_cell_length_b 3.2135
_cell_length_c 9.7614
_cell_angle_alpha 90.00
_cell_angle_beta 90.00
_cell_angle_gamma 90.00
loop_
_space_group_symop_operation_xyz
'x,y,z'
'-y,x,z'
'-x,-y,z'
'y,-x,z'
'-x,y,z'
'y,x,z'
'x,-y,z'
'-y,-x,z'
loop_
_atom_site_label
_atom_site_type_symbol
_atom_site_fract_x
_atom_site_fract_y
_atom_site_fract_z
Sc1 Sc 0.0000 0.0000 0.0000
Sc2 Sc 0.5000 0.5000 0.4929
Tc1 Tc 0.0000 0.0000 0.3146
Tc2 Tc 0.5000 0.5000 0.1738
Tc3 Tc 0.5000 0.5000 0.8533
Ag1 Ag 0.0000 0.0000 0.6800
```



# 4
Simulated powder X-ray diffraction pattern
Compound: Pr3Si2Ni6
Radiation: Cu Kα
Structure: the PBE geometry in OQMD
Lines closer than 0.1° are merged.

Most intense lines, 2θ from 5° to 70°, sorted by position:
- 2θ = 24.32°, rel. 143, (2 1 1)
- 2θ = 28.16°, rel. 152, (2 2 0)
- 2θ = 31.56°, rel. 361, (3 1 0)
- 2θ = 34.67°, rel. 254, (2 2 2)
- 2θ = 37.54°, rel. 329, (3 2 1)
- 2θ = 40.24°, rel. 231, (4 0 0)
- 2θ = 42.80°, rel. 1000, (3 3 0)
- 2θ = 56.21°, rel. 110, (5 2 1)
- 2θ = 60.20°, rel. 119, (4 3 3)
- 2θ = 62.13°, rel. 109, (6 0 0)
- 2θ = 64.04°, rel. 207, (5 3 2)
- 2θ = 69.57°, rel. 179, (6 2 2)

Atomic structure:
```
data_Pr3Si2Ni6
_space_group_name_H-M_alt 'I m -3 m'
_space_group_IT_number 229
_space_group_name_Hall '-I 4 2 3'
_cell_length_a 8.9635
_cell_length_b 8.9635
_cell_length_c 8.9635
_cell_angle_alpha 90.00
_cell_angle_beta 90.00
_cell_angle_gamma 90.00
loop_
_atom_site_label
_atom_site_type_symbol
_atom_site_fract_x
_atom_site_fract_y
_atom_site_fract_z
Pr1 Pr 0.0000 0.0000 0.2847
Si1 Si 0.2500 0.2500 0.2500
Ni1 Ni 0.0000 0.3304 0.3304
```



# 5
Simulated powder X-ray diffraction pattern
Compound: GdDyZr2Sb2
Radiation: Cu Kα
Structure: the PBE geometry in OQMD
Lines closer than 0.1° are merged.

Most intense lines, 2θ from 5° to 70°, sorted by position:
- 2θ = 26.26°, rel. 122, (1 0 3)
- 2θ = 29.52°, rel. 477, (1 1 0)
- 2θ = 31.44°, rel. 959, (1 1 2)
- 2θ = 32.15°, rel. 417, (0 0 6)
- 2θ = 34.04°, rel. 634, (1 0 5)
- 2θ = 36.67°, rel. 1000, (1 1 4)
- 2θ = 42.23°, rel. 728, (2 0 0)
- 2θ = 53.84°, rel. 156, (1 0 9)
- 2θ = 54.05°, rel. 378, (2 0 6)
- 2θ = 55.32°, rel. 315, (2 1 5)
- 2θ = 61.26°, rel. 239, (2 2 0)
- 2θ = 65.18°, rel. 205, (1 0 11)

Atomic structure:
```
data_GdDyZr2Sb2
_space_group_name_H-M_alt 'I 4 m m'
_space_group_IT_number 107
_space_group_name_Hall 'I 4 -2'
_cell_length_a 4.2798
_cell_length_b 4.2798
_cell_length_c 16.7052
_cell_angle_alpha 90.00
_cell_angle_beta 90.00
_cell_angle_gamma 90.00
loop_
_atom_site_label
_atom_site_type_symbol
_atom_site_fract_x
_atom_site_fract_y
_atom_site_fract_z
Gd1 Gd 0.0000 0.0000 0.0000
Dy1 Dy 0.0000 0.0000 0.3543
Zr1 Zr 0.0000 0.5000 0.1778
Sb1 Sb 0.0000 0.0000 0.5451
Sb2 Sb 0.0000 0.0000 0.8102
```



# 6
Simulated powder X-ray diffraction pattern
Compound: Co7W5
Radiation: Cu Kα
Structure: the PBE geometry in OQMD
Lines closer than 0.1° are merged.

Most intense lines, 2θ from 5° to 70°, sorted by position:
- 2θ = 11.33°, rel. 470, (0 0 2)
- 2θ = 20.95°, rel. 550, (1 0 0)
- 2θ = 21.72°, rel. 268, (1 0 1)
- 2θ = 34.44°, rel. 295, (0 0 6)
- 2θ = 36.71°, rel. 254, (1 1 0)
- 2θ = 40.66°, rel. 895, (1 0 6)
- 2θ = 43.06°, rel. 571, (2 0 1)
- 2θ = 43.64°, rel. 1000, (1 1 4)
- 2θ = 44.27°, rel. 926, (2 0 2)
- 2θ = 46.24°, rel. 552, (2 0 3)
- 2θ = 52.14°, rel. 255, (2 0 5)
- 2θ = 68.79°, rel. 350, (2 1 6)

Atomic structure:
```
data_Co7W5
_space_group_name_H-M_alt 'P 63/m m c'
_space_group_IT_number 194
_space_group_name_Hall '-P 6c 2c'
_cell_length_a 4.8957
_cell_length_b 4.8957
_cell_length_c 15.6242
_cell_angle_alpha 90.00
_cell_angle_beta 90.00
_cell_angle_gamma 120.00
loop_
_atom_site_label
_atom_site_type_symbol
_atom_site_fract_x
_atom_site_fract_y
_atom_site_fract_z
Co1 Co 0.0000 0.5000 0.0000
Co2 Co 0.3333 0.6667 0.1194
Co3 Co 0.3333 0.6667 0.6546
W1 W 0.0000 0.0000 0.0860
W2 W 0.1651 0.3302 0.2500
```



# 7
Simulated powder X-ray diffraction pattern
Compound: TbErC2Br2
Radiation: Cu Kα
Structure: the PBE geometry in OQMD
Lines closer than 0.1° are merged.

Most intense lines, 2θ from 5° to 70°, sorted by position:
- 2θ = 8.10°, rel. 1000, (0 0 1)
- 2θ = 16.24°, rel. 113, (0 0 2)
- 2θ = 26.84°, rel. 237, (1 1 0)
- 2θ = 29.13°, rel. 361, (2 0 -2)
- 2θ = 30.96°, rel. 177, (1 1 -2)
- 2θ = 31.45°, rel. 105, (2 0 2)
- 2θ = 32.08°, rel. 469, (1 1 2)
- 2θ = 37.36°, rel. 194, (1 1 3)
- 2θ = 42.03°, rel. 158, (1 1 -4)
- 2θ = 45.67°, rel. 190, (3 1 0)
- 2θ = 49.03°, rel. 128, (1 1 -5)
- 2θ = 57.35°, rel. 106, (2 2 -2)

Atomic structure:
```
data_TbErC2Br2
_space_group_name_H-M_alt 'C 1 m 1'
_space_group_IT_number 8
_cell_length_a 7.0336
_cell_length_b 3.7728
_cell_length_c 10.9507
_cell_angle_alpha 90.00
_cell_angle_beta 94.71
_cell_angle_gamma 90.00
loop_
_space_group_symop_operation_xyz
'x,y,z'
'x,-y,z'
'x+1/2,y+1/2,z'
'x+1/2,-y+1/2,z'
loop_
_atom_site_label
_atom_site_type_symbol
_atom_site_fract_x
_atom_site_fract_y
_atom_site_fract_z
Tb1 Tb 0.0000 0.0000 0.0000
Er1 Er 0.2897 0.0000 0.2635
C1 C 0.0698 0.5000 0.1686
C2 C 0.2198 0.5000 0.1009
Br1 Br 0.3210 0.0000 0.8260
Br2 Br 0.4658 0.5000 0.4339
```



# 8
Simulated powder X-ray diffraction pattern
Compound: CuSbPb
Radiation: Cu Kα
Structure: the PBE geometry in OQMD
Lines closer than 0.1° are merged.

Most intense lines, 2θ from 5° to 70°, sorted by position:
- 2θ = 22.99°, rel. 131, (1 0 0)
- 2θ = 25.17°, rel. 37, (1 0 1)
- 2θ = 30.84°, rel. 1000, (1 0 2)
- 2θ = 40.39°, rel. 420, (1 1 0)
- 2θ = 41.21°, rel. 132, (0 0 4)
- 2θ = 46.98°, rel. 22, (2 0 0)
- 2θ = 47.71°, rel. 43, (1 0 4)
- 2θ = 51.66°, rel. 239, (2 0 2)
- 2θ = 59.07°, rel. 273, (1 1 4)
- 2θ = 63.65°, rel. 19, (2 1 0)
- 2θ = 67.54°, rel. 214, (2 1 2)
- 2θ = 68.70°, rel. 102, (1 0 6)

Atomic structure:
```
data_CuSbPb
_space_group_name_H-M_alt 'P 63/m m c'
_space_group_IT_number 194
_space_group_name_Hall '-P 6c 2c'
_cell_length_a 4.4664
_cell_length_b 4.4664
_cell_length_c 8.7627
_cell_angle_alpha 90.00
_cell_angle_beta 90.00
_cell_angle_gamma 120.00
loop_
_atom_site_label
_atom_site_type_symbol
_atom_site_fract_x
_atom_site_fract_y
_atom_site_fract_z
Cu1 Cu 0.3333 0.6667 0.2500
Sb1 Sb 0.3333 0.6667 0.7500
Pb1 Pb 0.0000 0.0000 0.0000
```